This entry pairs a crystal structure of Ca3Fe2Br2O5 with its calculated powder XRD pattern. Radiation: λ = 1.5418 Å (Cu Kα). Structure: a DFT-relaxed cell (GGA+U, Alexandria).
Intensities are scaled so that the largest is 100.

Peak list (8 most intense, 2θ = 10–90°, sorted by position)
| 2θ (°) | d_spacing | I_rel | (hkl) |
| --- | --- | --- | --- |
| 13.34 | 6.635 | 19 | 0 0 4 |
| 22.91 | 3.882 | 23 | 1 0 1 |
| 32.26 | 2.775 | 80 | 1 1 0 |
| 32.85 | 2.727 | 100 | 1 0 7 |
| 38.18 | 2.357 | 22 | 1 0 9 |
| 44.06 | 2.055 | 29 | 1 0 11 |
| 46.27 | 1.962 | 51 | 2 0 0 |
| 57.90 | 1.593 | 36 | 2 1 7 |

Cell and atoms:
a = 3.924 Å, b = 3.924 Å, c = 26.541 Å
α = 90.00°, β = 90.00°, γ = 90.00°
Space group I4/mmm (No. 139)
Inequivalent atoms, fractional coordinates:
Ca 0.000 0.000 0.000 x2
Ca 0.000 0.000 0.135 x4
Fe 0.000 0.000 0.427 x4
Br 0.000 0.000 0.312 x4
O 0.000 0.000 0.500 x2
O 0.000 0.500 0.082 x8